Record 1
Starting from a crystal structure in Alexandria, relaxed with GGA-PBE, the XRD peak list of Cu2AgHSe2O10 was calculated for Cu Kα X-rays.

Top 12 peaks for 2θ = 10–90°, sorted by position:
- 18.76°, rel. 57
- 20.26°, rel. 21
- 24.21°, rel. 33
- 25.69°, rel. 100
- 30.75°, rel. 53
- 31.38°, rel. 53
- 34.17°, rel. 45
- 34.66°, rel. 35
- 35.55°, rel. 23
- 37.24°, rel. 26
- 49.33°, rel. 31
- 53.30°, rel. 38

Cell and atoms:
```
data_Cu2AgHSe2O10
_space_group_name_H-M_alt 'P 1'
_space_group_IT_number 1
_cell_length_a 5.3681
_cell_length_b 5.3681
_cell_length_c 8.3799
_cell_angle_alpha 112.73
_cell_angle_beta 112.73
_cell_angle_gamma 70.29
loop_
_space_group_symop_operation_xyz
'x,y,z'
loop_
_atom_site_label
_atom_site_fract_x
_atom_site_fract_y
_atom_site_fract_z
Cu1 0.0000 0.5000 0.0000
Cu2 0.5000 0.0000 0.0000
Ag1 0.0000 0.0000 0.5000
H1 0.0000 0.0000 0.0000
Se1 0.4258 0.4258 0.7156
Se2 0.5742 0.5742 0.2844
O1 0.1538 0.1538 0.0438
O2 0.2196 0.6734 0.2408
O3 0.2808 0.2808 0.4996
O4 0.3266 0.7804 0.7592
O5 0.3332 0.3332 0.8482
O6 0.6668 0.6668 0.1518
O7 0.6734 0.2196 0.2408
O8 0.7192 0.7192 0.5004
O9 0.7804 0.3266 0.7592
O10 0.8462 0.8462 0.9562
```

=====

Record 2
Starting from a crystal structure in Alexandria, relaxed with GGA-PBE, the XRD peak list of CuAgHg2 was calculated for Cu Kα X-rays.

Top 12 peaks for 2θ = 10–90°, sorted by position:
- 30.39°, rel. 31
- 31.15°, rel. 29
- 34.18°, rel. 27
- 36.39°, rel. 100
- 37.04°, rel. 95
- 40.82°, rel. 85
- 46.14°, rel. 15
- 54.27°, rel. 29
- 58.19°, rel. 15
- 63.28°, rel. 24
- 71.02°, rel. 28
- 72.24°, rel. 27

Cell and atoms:
```
data_CuAgHg2
_space_group_name_H-M_alt 'P 1'
_space_group_IT_number 1
_cell_length_a 3.0836
_cell_length_b 3.1707
_cell_length_c 7.8695
_cell_angle_alpha 90.00
_cell_angle_beta 90.00
_cell_angle_gamma 90.00
loop_
_space_group_symop_operation_xyz
'x,y,z'
loop_
_atom_site_label
_atom_site_fract_x
_atom_site_fract_y
_atom_site_fract_z
Cu1 0.0000 0.0000 0.0000
Ag1 0.5000 0.5000 0.7966
Hg1 0.0000 0.0000 0.5290
Hg2 0.5000 0.5000 0.2183
```